Diffraction record for SrSe5. The X-ray diffraction stick pattern is theoretical, not measured: it uses the GGA-PBE geometry in Alexandria and Cu Kα.
Lines closer than 0.1° are merged.

Main lines, low angle first (2θ from 5° to 70°):
| two_theta | I_rel | hkl |
| --- | --- | --- |
| 20.4 | 100 | 1 -1 1 |
| 21.2 | 93 | -1 1 1 |
| 27.6 | 88 | 0 1 2 |
| 28.1 | 62 | 1 -2 0 |
| 33.0 | 63 | 2 1 -1 |
| 37.4 | 66 | 1 2 1 |

```
data_SrSe5
_symmetry_space_group_name_H-M 'P -1'
_symmetry_Int_Tables_number 2
_cell_length_a 6.1912
_cell_length_b 7.0933
_cell_length_c 9.1562
_cell_angle_alpha 105.48
_cell_angle_beta 99.72
_cell_angle_gamma 96.31
loop_
_symmetry_equiv_pos_as_xyz
'x,y,z'
'-x,-y,-z'
loop_
_atom_site_label
_atom_site_fract_x
_atom_site_fract_y
_atom_site_fract_z
Sr1 0.1673 0.3057 0.3004
Se1 0.1074 0.1750 0.9380
Se2 0.1111 0.7424 0.4617
Se3 0.3083 0.5209 0.6996
Se4 0.4274 0.3312 0.8778
Se5 0.4574 0.9498 0.6073
```

=====

Diffraction record for Sr3Se2. The X-ray diffraction stick pattern is theoretical, not measured: it uses the GGA-PBE geometry in Alexandria and Cu Kα.
Lines closer than 0.1° are merged.

Main lines, low angle first (2θ from 5° to 70°):
| two_theta | I_rel | hkl |
| --- | --- | --- |
| 8.1 | 17 | 0 0 1 |
| 28.6 | 100 | 1 0 2 |
| 40.8 | 37 | 0 1 4 |
| 41.0 | 36 | 1 1 0 |
| 50.7 | 20 | 0 2 2 |
| 67.1 | 17 | 2 1 2 |

```
data_Sr3Se2
_symmetry_space_group_name_H-M 'P -3 m 1'
_symmetry_Int_Tables_number 164
_symmetry_space_group_name_Hall '-P 3 2"'
_cell_length_a 4.4066
_cell_length_b 4.4066
_cell_length_c 10.8675
_cell_angle_alpha 90.00
_cell_angle_beta 90.00
_cell_angle_gamma 120.00
loop_
_atom_site_label
_atom_site_fract_x
_atom_site_fract_y
_atom_site_fract_z
Sr1 0.0000 0.0000 0.0000
Sr2 0.3333 0.6667 0.3375
Se1 0.3333 0.6667 0.8304
```

=====

Diffraction record for SrSe2. The X-ray diffraction stick pattern is theoretical, not measured: it uses the GGA-PBE geometry in Alexandria and Cu Kα.
Lines closer than 0.1° are merged.

Main lines, low angle first (2θ from 5° to 70°):
| two_theta | I_rel | hkl |
| --- | --- | --- |
| 22.3 | 100 | 1 1 -1 |
| 31.7 | 55 | 1 1 2 |
| 33.1 | 87 | 3 1 0 |
| 36.2 | 36 | 3 1 -2 |
| 37.4 | 29 | 1 1 -3 |
| 37.5 | 44 | 0 2 0 |

```
data_SrSe2
_symmetry_space_group_name_H-M 'C 1 m 1'
_symmetry_Int_Tables_number 8
_cell_length_a 10.1229
_cell_length_b 4.7942
_cell_length_c 8.3520
_cell_angle_alpha 90.00
_cell_angle_beta 103.32
_cell_angle_gamma 90.00
loop_
_symmetry_equiv_pos_as_xyz
'x,y,z'
'x,-y,z'
'x+1/2,y+1/2,z'
'x+1/2,-y+1/2,z'
loop_
_atom_site_label
_atom_site_fract_x
_atom_site_fract_y
_atom_site_fract_z
Sr1 0.0000 0.0000 0.0000
Sr2 0.1975 0.5000 0.5908
Se1 0.0184 0.0000 0.6224
Se2 0.1469 0.5000 0.2092
Se3 0.2639 0.0000 0.8854
Se4 0.4036 0.0000 0.1883
```

=====

Diffraction record for SrTb2Se4. The X-ray diffraction stick pattern is theoretical, not measured: it uses the GGA-PBE geometry in Alexandria and Cu Kα.
Lines closer than 0.1° are merged.

Main lines, low angle first (2θ from 5° to 70°):
| two_theta | I_rel | hkl |
| --- | --- | --- |
| 24.2 | 75 | 3 0 2 |
| 25.4 | 65 | 1 1 2 |
| 28.7 | 61 | 1 1 3 |
| 30.7 | 79 | 4 0 2 |
| 35.1 | 100 | 2 1 4 |
| 43.4 | 65 | 0 2 0 |

```
data_SrTb2Se4
_symmetry_space_group_name_H-M 'P n m a'
_symmetry_Int_Tables_number 62
_cell_length_a 12.6577
_cell_length_b 4.1723
_cell_length_c 15.0739
_cell_angle_alpha 90.00
_cell_angle_beta 90.00
_cell_angle_gamma 90.00
loop_
_symmetry_equiv_pos_as_xyz
'x,y,z'
'-x,-y,-z'
'-x+1/2,-y,z+1/2'
'x+1/2,y,-z+1/2'
'x+1/2,-y+1/2,-z+1/2'
'-x+1/2,y+1/2,z+1/2'
'-x,y+1/2,-z'
'x,-y+1/2,z'
loop_
_atom_site_label
_atom_site_fract_x
_atom_site_fract_y
_atom_site_fract_z
Sr1 0.2407 0.2500 0.1648
Tb1 0.0644 0.2500 0.3896
Tb2 0.0825 0.2500 0.9015
Se1 0.0261 0.7500 0.7843
Se2 0.0894 0.2500 0.5783
Se3 0.1309 0.7500 0.0299
Se4 0.2058 0.7500 0.3258
```

=====

Diffraction record for SrTb4YSe8. The X-ray diffraction stick pattern is theoretical, not measured: it uses the GGA-PBE geometry in Alexandria and Cu Kα.
Lines closer than 0.1° are merged.

Main lines, low angle first (2θ from 5° to 70°):
| two_theta | I_rel | hkl |
| --- | --- | --- |
| 12.7 | 22 | 0 0 3 |
| 20.8 | 23 | 1 0 4 |
| 24.4 | 85 | 0 2 1 |
| 29.5 | 59 | 0 2 4 |
| 38.7 | 51 | 0 2 7 |
| 42.2 | 100 | 2 2 0 |

```
data_SrTb4YSe8
_symmetry_space_group_name_H-M 'R 3 m'
_symmetry_Int_Tables_number 160
_symmetry_space_group_name_Hall 'R 3 -2"'
_cell_length_a 8.5585
_cell_length_b 8.5585
_cell_length_c 20.9525
_cell_angle_alpha 90.00
_cell_angle_beta 90.00
_cell_angle_gamma 120.00
loop_
_atom_site_label
_atom_site_fract_x
_atom_site_fract_y
_atom_site_fract_z
Sr1 0.0000 0.0000 0.0000
Tb1 0.0000 0.0000 0.2501
Tb2 0.1691 0.3382 0.4578
Y1 0.0000 0.0000 0.6271
Se1 0.0000 0.0000 0.3826
Se2 0.0000 0.0000 0.8617
Se3 0.0357 0.5178 0.3794
Se4 0.1770 0.3541 0.2062
```

=====

Diffraction record for SrTcSe. The X-ray diffraction stick pattern is theoretical, not measured: it uses the GGA-PBE geometry in Alexandria and Cu Kα.
Lines closer than 0.1° are merged.

Main lines, low angle first (2θ from 5° to 70°):
| two_theta | I_rel | hkl |
| --- | --- | --- |
| 18.6 | 16 | 0 0 1 |
| 30.8 | 100 | 0 1 1 |
| 37.6 | 22 | 0 0 2 |
| 42.9 | 44 | 1 1 0 |
| 53.8 | 20 | 2 0 1 |
| 58.4 | 35 | 1 1 2 |

```
data_SrTcSe
_symmetry_space_group_name_H-M 'P 3 m 1'
_symmetry_Int_Tables_number 156
_cell_length_a 4.2127
_cell_length_b 4.2127
_cell_length_c 4.7824
_cell_angle_alpha 90.00
_cell_angle_beta 90.00
_cell_angle_gamma 120.00
loop_
_symmetry_equiv_pos_as_xyz
'x,y,z'
'-y,x-y,z'
'-x+y,-x,z'
'-y,-x,z'
'-x+y,y,z'
'x,x-y,z'
loop_
_atom_site_label
_atom_site_fract_x
_atom_site_fract_y
_atom_site_fract_z
Sr1 0.0000 0.0000 0.0000
Tc1 0.6667 0.3333 0.5002
Se1 0.3333 0.6667 0.4991
```

=====

Diffraction record for SrYTeSe. The X-ray diffraction stick pattern is theoretical, not measured: it uses the GGA-PBE geometry in Alexandria and Cu Kα.
Lines closer than 0.1° are merged.

Main lines, low angle first (2θ from 5° to 70°):
| two_theta | I_rel | hkl |
| --- | --- | --- |
| 25.4 | 40 | 0 1 2 |
| 28.7 | 28 | 1 0 4 |
| 31.1 | 100 | 0 1 5 |
| 36.6 | 59 | 1 0 7 |
| 42.5 | 63 | 1 1 0 |
| 65.4 | 27 | 1 1 12 |

```
data_SrYTeSe
_symmetry_space_group_name_H-M 'R 3 m'
_symmetry_Int_Tables_number 160
_symmetry_space_group_name_Hall 'R 3 -2"'
_cell_length_a 4.2537
_cell_length_b 4.2537
_cell_length_c 23.0908
_cell_angle_alpha 90.00
_cell_angle_beta 90.00
_cell_angle_gamma 120.00
loop_
_atom_site_label
_atom_site_fract_x
_atom_site_fract_y
_atom_site_fract_z
Sr1 0.0000 0.0000 0.0000
Y1 0.0000 0.0000 0.1822
Te1 0.0000 0.0000 0.4307
Se1 0.0000 0.0000 0.5881
```

=====

Diffraction record for SrTm2Se4. The X-ray diffraction stick pattern is theoretical, not measured: it uses the GGA-PBE geometry in Alexandria and Cu Kα.
Lines closer than 0.1° are merged.

Main lines, low angle first (2θ from 5° to 70°):
| two_theta | I_rel | hkl |
| --- | --- | --- |
| 24.4 | 85 | 3 0 2 |
| 25.8 | 79 | 1 1 2 |
| 29.1 | 76 | 1 1 3 |
| 35.6 | 100 | 2 1 4 |
| 36.0 | 60 | 4 1 0 |
| 44.1 | 66 | 0 2 0 |

```
data_SrTm2Se4
_symmetry_space_group_name_H-M 'P n m a'
_symmetry_Int_Tables_number 62
_cell_length_a 12.5747
_cell_length_b 4.1094
_cell_length_c 14.8698
_cell_angle_alpha 90.00
_cell_angle_beta 90.00
_cell_angle_gamma 90.00
loop_
_symmetry_equiv_pos_as_xyz
'x,y,z'
'-x,-y,-z'
'-x+1/2,-y,z+1/2'
'x+1/2,y,-z+1/2'
'x+1/2,-y+1/2,-z+1/2'
'-x+1/2,y+1/2,z+1/2'
'-x,y+1/2,-z'
'x,-y+1/2,z'
loop_
_atom_site_label
_atom_site_fract_x
_atom_site_fract_y
_atom_site_fract_z
Sr1 0.2395 0.2500 0.1663
Tm1 0.0605 0.2500 0.3891
Tm2 0.0832 0.2500 0.9024
Se1 0.0286 0.7500 0.7844
Se2 0.0906 0.2500 0.5764
Se3 0.1279 0.7500 0.0303
Se4 0.2042 0.7500 0.3310
```

=====

Diffraction record for Sr2TmZnSe5. The X-ray diffraction stick pattern is theoretical, not measured: it uses the GGA-PBE geometry in Alexandria and Cu Kα.
Lines closer than 0.1° are merged.

Main lines, low angle first (2θ from 5° to 70°):
| two_theta | I_rel | hkl |
| --- | --- | --- |
| 29.9 | 53 | 0 6 1 |
| 30.6 | 100 | 1 1 3 |
| 35.5 | 46 | 1 5 2 |
| 43.9 | 33 | 2 0 0 |
| 50.1 | 24 | 1 7 4 |
| 54.0 | 20 | 2 6 1 |

```
data_Sr2TmZnSe5
_symmetry_space_group_name_H-M 'C m c 21'
_symmetry_Int_Tables_number 36
_cell_length_a 4.1295
_cell_length_b 18.4573
_cell_length_c 12.7061
_cell_angle_alpha 90.00
_cell_angle_beta 90.00
_cell_angle_gamma 90.00
loop_
_symmetry_equiv_pos_as_xyz
'x,y,z'
'-x,-y,z+1/2'
'-x,y,z'
'x,-y,z+1/2'
'x+1/2,y+1/2,z'
'-x+1/2,-y+1/2,z+1/2'
'-x+1/2,y+1/2,z'
'x+1/2,-y+1/2,z+1/2'
loop_
_atom_site_label
_atom_site_fract_x
_atom_site_fract_y
_atom_site_fract_z
Sr1 0.0000 0.1168 0.0000
Sr2 0.0000 0.1240 0.6366
Tm1 0.0000 0.2050 0.3324
Zn1 0.0000 0.4403 0.7485
Se1 0.0000 0.0483 0.3544
Se2 0.0000 0.2958 0.9834
Se3 0.0000 0.3089 0.6779
Se4 0.0000 0.3548 0.3214
Se5 0.0000 0.4982 0.0804
```

=====

Diffraction record for Sr2USe4. The X-ray diffraction stick pattern is theoretical, not measured: it uses the GGA-PBE geometry in Alexandria and Cu Kα.
Lines closer than 0.1° are merged.

Main lines, low angle first (2θ from 5° to 70°):
| two_theta | I_rel | hkl |
| --- | --- | --- |
| 13.4 | 95 | 1 1 0 |
| 24.0 | 52 | 1 3 0 |
| 24.4 | 100 | 1 1 1 |
| 31.7 | 55 | 2 1 1 |
| 34.0 | 82 | 2 2 1 |
| 42.8 | 62 | 1 5 1 |

```
data_Sr2USe4
_symmetry_space_group_name_H-M 'P b a m'
_symmetry_Int_Tables_number 55
_cell_length_a 7.7155
_cell_length_b 12.6895
_cell_length_c 4.3852
_cell_angle_alpha 90.00
_cell_angle_beta 90.00
_cell_angle_gamma 90.00
loop_
_symmetry_equiv_pos_as_xyz
'x,y,z'
'-x,-y,-z'
'-x,-y,z'
'x,y,-z'
'x+1/2,-y+1/2,-z'
'-x+1/2,y+1/2,z'
'-x+1/2,y+1/2,-z'
'x+1/2,-y+1/2,z'
loop_
_atom_site_label
_atom_site_fract_x
_atom_site_fract_y
_atom_site_fract_z
Sr1 0.0889 0.1829 0.0000
U1 0.0000 0.5000 0.5000
Se1 0.1298 0.7061 0.5000
Se2 0.2323 0.4523 0.0000
```